Sr2HfZnFe: theoretical X-ray powder pattern (Cu Kα (λ = 1.5418 Å)), based on a crystal structure in Alexandria, relaxed with GGA-PBE.

Structure:
```
Sr2HfZnFe
1.0
5.4297 0.0000 0.0000
0.0000 5.4297 0.0000
0.0000 0.0000 4.7622
Sr Hf Zn Fe
2 1 1 1
direct
0.0000 0.5000 0.0000
0.5000 0.0000 0.0000
0.0000 0.0000 0.5000
0.5000 0.5000 0.5000
0.5000 0.5000 0.0000
```

Largest 10 diffraction maxima, most intense first, 2θ = 10–80°:
| 2theta | I_rel |
| --- | --- |
| 29.89 | 100.0 |
| 32.99 | 68.0 |
| 51.02 | 39.0 |
| 57.02 | 32.5 |
| 24.87 | 31.9 |
| 47.35 | 24.4 |
| 37.78 | 23.4 |
| 62.11 | 21.3 |
| 41.75 | 16.2 |
| 23.17 | 12.0 |

---

Pm2PuTl3Te6: theoretical X-ray powder pattern (Cu Kα (λ = 1.5418 Å)), based on a crystal structure in Alexandria, relaxed with GGA-PBE.

Structure:
```
Pm2PuTl3Te6
1.0
3.9309 -6.8072 0.0000
3.9309 6.8072 0.0000
-2.6233 0.0000 8.1427
Pm Pu Tl Te
2 1 3 6
direct
0.1666 0.8334 0.0000
0.8334 0.1666 0.0000
0.5000 0.5000 0.0000
0.0000 0.0000 0.5000
0.3327 0.6673 0.5000
0.6673 0.3327 0.5000
0.0961 0.4275 0.7822
0.2416 0.2416 0.2185
0.4275 0.0961 0.7822
0.5725 0.9039 0.2178
0.7584 0.7584 0.7815
0.9039 0.5725 0.2178
```

Largest 10 diffraction maxima, most intense first, 2θ = 10–80°:
| 2theta | I_rel |
| --- | --- |
| 26.98 | 100.0 |
| 37.29 | 39.2 |
| 39.72 | 36.9 |
| 48.67 | 20.1 |
| 64.56 | 17.3 |
| 55.61 | 12.4 |
| 70.49 | 12.2 |
| 61.17 | 10.8 |
| 44.51 | 6.9 |
| 72.09 | 6.4 |

---

Tb12NdSm5: theoretical X-ray powder pattern (Cu Kα (λ = 1.5418 Å)), based on a crystal structure in Alexandria, relaxed with GGA-PBE.

Structure:
```
Tb12NdSm5
1.0
5.6808 -8.7047 0.0000
5.6808 8.7047 0.0000
-0.0003 0.0000 5.9909
Tb Nd Sm
12 1 5
direct
0.0105 0.3437 0.0537
0.1555 0.4891 0.5539
0.1755 0.1755 0.4493
0.3230 0.3230 0.9494
0.3437 0.0105 0.0537
0.4891 0.1555 0.5539
0.5109 0.8445 0.4461
0.6563 0.9895 0.9463
0.6770 0.6770 0.0506
0.8245 0.8245 0.5507
0.8445 0.5109 0.4461
0.9895 0.6563 0.9463
0.5000 0.5000 0.5000
0.0000 0.0000 0.0000
0.1675 0.8325 0.5000
0.3326 0.6674 0.0000
0.6674 0.3326 0.0000
0.8325 0.1675 0.5000
```

Largest 10 diffraction maxima, most intense first, 2θ = 10–80°:
| 2theta | I_rel |
| --- | --- |
| 31.93 | 100.0 |
| 30.82 | 30.4 |
| 29.83 | 24.2 |
| 55.50 | 20.9 |
| 43.42 | 17.5 |
| 34.61 | 12.5 |
| 54.28 | 11.6 |
| 58.17 | 9.1 |
| 66.74 | 8.8 |
| 48.05 | 8.0 |

---

SmAl4Ag4: theoretical X-ray powder pattern (Cu Kα (λ = 1.5418 Å)), based on a crystal structure in Alexandria, relaxed with GGA-PBE.

Structure:
```
SmAl4Ag4
1.0
6.2028 0.0000 0.0000
0.0000 6.2028 0.0000
0.0000 0.0000 9.1064
Sm Al Ag
2 8 8
direct
0.2500 0.7500 0.2500
0.7500 0.2500 0.7500
0.0318 0.2500 0.0501
0.2500 0.0318 0.5501
0.2500 0.4682 0.5501
0.4682 0.2500 0.0501
0.5318 0.7500 0.9499
0.7500 0.5318 0.4499
0.7500 0.9682 0.4499
0.9682 0.7500 0.9499
0.0267 0.2500 0.3419
0.2500 0.0267 0.8419
0.2500 0.4733 0.8419
0.4733 0.2500 0.3419
0.5267 0.7500 0.6581
0.7500 0.5267 0.1581
0.7500 0.9733 0.1581
0.9733 0.7500 0.6581
```

Largest 10 diffraction maxima, most intense first, 2θ = 10–80°:
| 2theta | I_rel |
| --- | --- |
| 33.78 | 100.0 |
| 41.63 | 46.9 |
| 24.25 | 33.5 |
| 19.50 | 19.9 |
| 32.85 | 17.4 |
| 41.16 | 14.0 |
| 59.62 | 13.4 |
| 42.29 | 12.1 |
| 75.34 | 11.8 |
| 58.43 | 11.3 |